No. 1
Starting from the PBE geometry in Alexandria, the X-ray diffraction stick pattern of Ta5VMo6 was computed for CuKα.
No peak broadening, texture or thermal motion is included.

Cell and atoms:
```
data_Ta5VMo6
_chemical_formula_sum 'Ta10 V2 Mo12'
_space_group_name_H-M_alt 'C 1 2/m 1'
_space_group_IT_number 12
_cell_length_a 14.343
_cell_length_b 6.411
_cell_length_c 4.543
_cell_angle_alpha 90.00
_cell_angle_beta 108.37
_cell_angle_gamma 90.00
loop_
_space_group_symop_operation_xyz
'x,y,z'
'-x,-y,-z'
'-x,y,-z'
'x,-y,z'
'x+1/2,y+1/2,z'
'-x+1/2,-y+1/2,-z'
'-x+1/2,y+1/2,-z'
'x+1/2,-y+1/2,z'
loop_
_atom_site_label
_atom_site_type_symbol
_atom_site_fract_x
_atom_site_fract_y
_atom_site_fract_z
Ta1 Ta 0.000 0.000 0.000
Ta2 Ta 0.166 0.000 0.666
Ta3 Ta 0.166 0.500 0.666
V1 V 0.000 0.500 0.000
Mo1 Mo 0.000 0.255 0.500
Mo2 Mo 0.165 0.252 0.165
```

Principal peaks in the range 2θ from 5° to 70°, in order of rising 2θ:
2θ (°)	I/Imax
13.01	1
15.28	2
24.02	2
27.40	1
27.80	7
39.73	100
49.18	2
57.35	6
57.48	11
64.99	2


No. 2
Starting from the PBE geometry in Alexandria, the X-ray diffraction stick pattern of PtI3Br was computed for CuKα.
No peak broadening, texture or thermal motion is included.

Cell and atoms:
```
data_PtI3Br
_chemical_formula_sum 'Pt4 I12 Br4'
_space_group_name_H-M_alt 'C 1 c 1'
_space_group_IT_number 9
_cell_length_a 8.206
_cell_length_b 17.246
_cell_length_c 6.919
_cell_angle_alpha 90.00
_cell_angle_beta 126.20
_cell_angle_gamma 90.00
loop_
_space_group_symop_operation_xyz
'x,y,z'
'x,-y,z+1/2'
'x+1/2,y+1/2,z'
'x+1/2,-y+1/2,z+1/2'
loop_
_atom_site_label
_atom_site_type_symbol
_atom_site_fract_x
_atom_site_fract_y
_atom_site_fract_z
Pt1 Pt 0.000 0.196 0.000
I1 I 0.243 0.309 0.019
I2 I 0.255 0.195 0.481
I3 I 0.296 0.416 0.543
Br1 Br 0.209 0.096 0.974
```

Principal peaks in the range 2θ from 5° to 70°, in order of rising 2θ:
2θ (°)	I/Imax
10.26	99
14.36	100
20.47	27
26.11	19
26.97	22
30.07	94
32.06	45
38.23	25
44.53	58
50.73	21


No. 3
Starting from the PBE geometry in Alexandria, the X-ray diffraction stick pattern of ErSi2Rh4 was computed for CuKα.
No peak broadening, texture or thermal motion is included.

Cell and atoms:
```
data_ErSi2Rh4
_chemical_formula_sum 'Er4 Si8 Rh16'
_space_group_name_H-M_alt 'P n m a'
_space_group_IT_number 62
_cell_length_a 16.619
_cell_length_b 4.028
_cell_length_c 6.377
_cell_angle_alpha 90.00
_cell_angle_beta 90.00
_cell_angle_gamma 90.00
loop_
_space_group_symop_operation_xyz
'x,y,z'
'-x,-y,-z'
'-x+1/2,-y,z+1/2'
'x+1/2,y,-z+1/2'
'x+1/2,-y+1/2,-z+1/2'
'-x+1/2,y+1/2,z+1/2'
'-x,y+1/2,-z'
'x,-y+1/2,z'
loop_
_atom_site_label
_atom_site_type_symbol
_atom_site_fract_x
_atom_site_fract_y
_atom_site_fract_z
Er1 Er 0.138 0.250 0.006
Si1 Si 0.039 0.750 0.260
Si2 Si 0.218 0.250 0.525
Rh1 Rh 0.030 0.750 0.855
Rh2 Rh 0.075 0.250 0.503
Rh3 Rh 0.184 0.750 0.310
Rh4 Rh 0.195 0.750 0.731
```

Principal peaks in the range 2θ from 5° to 70°, in order of rising 2θ:
2θ (°)	I/Imax
35.49	17
36.34	13
37.57	100
37.82	60
39.48	36
40.55	26
45.01	38
45.72	21
62.17	15
66.10	13


No. 4
Starting from the PBE geometry in Alexandria, the X-ray diffraction stick pattern of NiHS was computed for CuKα.
No peak broadening, texture or thermal motion is included.

Cell and atoms:
```
data_NiHS
_chemical_formula_sum 'Ni4 H4 S4'
_space_group_name_H-M_alt 'C 1 m 1'
_space_group_IT_number 8
_cell_length_a 12.180
_cell_length_b 3.439
_cell_length_c 3.789
_cell_angle_alpha 90.00
_cell_angle_beta 103.02
_cell_angle_gamma 90.00
loop_
_space_group_symop_operation_xyz
'x,y,z'
'x,-y,z'
'x+1/2,y+1/2,z'
'x+1/2,-y+1/2,z'
loop_
_atom_site_label
_atom_site_type_symbol
_atom_site_fract_x
_atom_site_fract_y
_atom_site_fract_z
Ni1 Ni 0.000 0.000 0.000
Ni2 Ni 0.031 0.500 0.544
H1 H 0.025 0.500 0.073
H2 H 0.217 0.000 0.059
S1 S 0.156 0.000 0.707
S2 S 0.404 0.500 0.420
```

Principal peaks in the range 2θ from 5° to 70°, in order of rising 2θ:
2θ (°)	I/Imax
14.93	100
26.99	7
34.56	8
35.31	6
37.66	21
39.37	15
45.60	21
48.22	10
48.52	19
53.27	8


No. 5
Starting from the PBE geometry in Alexandria, the X-ray diffraction stick pattern of KTh2Cu2Se6 was computed for CuKα.
No peak broadening, texture or thermal motion is included.

Cell and atoms:
```
data_KTh2Cu2Se6
_chemical_formula_sum 'K1 Th2 Cu2 Se6'
_space_group_name_H-M_alt 'P -1'
_space_group_IT_number 2
_cell_length_a 7.596
_cell_length_b 7.709
_cell_length_c 7.877
_cell_angle_alpha 92.18
_cell_angle_beta 118.62
_cell_angle_gamma 116.39
loop_
_space_group_symop_operation_xyz
'x,y,z'
'-x,-y,-z'
loop_
_atom_site_label
_atom_site_type_symbol
_atom_site_fract_x
_atom_site_fract_y
_atom_site_fract_z
K1 K 0.000 0.000 0.000
Th1 Th 0.342 0.014 0.672
Cu1 Cu 0.052 0.576 0.307
Se1 Se 0.132 0.242 0.692
Se2 Se 0.230 0.757 0.919
Se3 Se 0.460 0.746 0.541
```

Principal peaks in the range 2θ from 5° to 70°, in order of rising 2θ:
2θ (°)	I/Imax
13.52	99
13.89	26
14.30	57
25.87	54
26.24	100
27.87	56
34.86	37
36.42	28
40.66	28
48.56	32


No. 6
Starting from the PBE geometry in Alexandria, the X-ray diffraction stick pattern of SbPtF was computed for CuKα.
No peak broadening, texture or thermal motion is included.

Cell and atoms:
```
data_SbPtF
_chemical_formula_sum 'Sb4 Pt4 F4'
_space_group_name_H-M_alt 'P 1 21 1'
_space_group_IT_number 4
_cell_length_a 6.078
_cell_length_b 5.509
_cell_length_c 7.156
_cell_angle_alpha 90.00
_cell_angle_beta 114.64
_cell_angle_gamma 90.00
loop_
_space_group_symop_operation_xyz
'x,y,z'
'-x,y+1/2,-z'
loop_
_atom_site_label
_atom_site_type_symbol
_atom_site_fract_x
_atom_site_fract_y
_atom_site_fract_z
Sb1 Sb 0.140 0.000 0.191
Sb2 Sb 0.300 0.011 0.741
Pt1 Pt 0.111 0.499 0.217
Pt2 Pt 0.499 0.251 0.501
F1 F 0.094 0.496 0.668
F2 F 0.499 0.246 0.999
```

Principal peaks in the range 2θ from 5° to 70°, in order of rising 2θ:
2θ (°)	I/Imax
16.15	100
21.13	37
32.63	42
36.44	59
37.48	36
40.45	31
40.81	23
43.03	68
44.39	47
62.69	22


No. 7
Starting from the PBE geometry in Alexandria, the X-ray diffraction stick pattern of Th3SbS2 was computed for CuKα.
No peak broadening, texture or thermal motion is included.

Cell and atoms:
```
data_Th3SbS2
_chemical_formula_sum 'Th12 Sb4 S8'
_space_group_name_H-M_alt 'C m c m'
_space_group_IT_number 63
_space_group_name_Hall '-C 2c 2'
_cell_length_a 4.702
_cell_length_b 13.553
_cell_length_c 9.898
_cell_angle_alpha 90.00
_cell_angle_beta 90.00
_cell_angle_gamma 90.00
loop_
_atom_site_label
_atom_site_type_symbol
_atom_site_fract_x
_atom_site_fract_y
_atom_site_fract_z
Th1 Th 0.000 0.112 0.250
Th2 Th 0.000 0.365 0.042
Sb1 Sb 0.000 0.224 0.750
S1 S 0.000 0.000 0.000
S2 S 0.000 0.493 0.750
```

Principal peaks in the range 2θ from 5° to 70°, in order of rising 2θ:
2θ (°)	I/Imax
26.30	32
26.97	74
28.85	58
30.13	51
32.92	100
36.30	24
38.28	40
42.61	20
49.47	27
54.20	32


No. 8
Starting from the PBE geometry in Alexandria, the X-ray diffraction stick pattern of ZnBi was computed for CuKα.
No peak broadening, texture or thermal motion is included.

Cell and atoms:
```
data_ZnBi
_chemical_formula_sum 'Zn2 Bi2'
_space_group_name_H-M_alt 'P 1 21/m 1'
_space_group_IT_number 11
_cell_length_a 4.290
_cell_length_b 4.210
_cell_length_c 5.718
_cell_angle_alpha 90.00
_cell_angle_beta 110.49
_cell_angle_gamma 90.00
loop_
_space_group_symop_operation_xyz
'x,y,z'
'-x,-y,-z'
'-x,y+1/2,-z'
'x,-y+1/2,z'
loop_
_atom_site_label
_atom_site_type_symbol
_atom_site_fract_x
_atom_site_fract_y
_atom_site_fract_z
Zn1 Zn 0.082 0.250 0.149
Bi1 Bi 0.343 0.250 0.698
```

Principal peaks in the range 2θ from 5° to 70°, in order of rising 2θ:
2θ (°)	I/Imax
26.94	61
30.76	100
31.07	85
32.19	45
33.07	43
33.46	32
39.90	44
42.14	39
42.97	37
61.75	25


No. 9
Starting from the PBE geometry in Alexandria, the X-ray diffraction stick pattern of Th4ZnTe5 was computed for CuKα.
No peak broadening, texture or thermal motion is included.

Cell and atoms:
```
data_Th4ZnTe5
_chemical_formula_sum 'Th8 Zn2 Te10'
_space_group_name_H-M_alt 'C 1 2/m 1'
_space_group_IT_number 12
_cell_length_a 19.303
_cell_length_b 4.386
_cell_length_c 8.830
_cell_angle_alpha 90.00
_cell_angle_beta 103.53
_cell_angle_gamma 90.00
loop_
_space_group_symop_operation_xyz
'x,y,z'
'-x,-y,-z'
'-x,y,-z'
'x,-y,z'
'x+1/2,y+1/2,z'
'-x+1/2,-y+1/2,-z'
'-x+1/2,y+1/2,-z'
'x+1/2,-y+1/2,z'
loop_
_atom_site_label
_atom_site_type_symbol
_atom_site_fract_x
_atom_site_fract_y
_atom_site_fract_z
Th1 Th 0.001 0.000 0.241
Th2 Th 0.162 0.500 0.093
Zn1 Zn 0.000 0.500 0.000
Te1 Te 0.000 0.500 0.500
Te2 Te 0.168 0.000 0.345
Te3 Te 0.168 0.000 0.830
```

Principal peaks in the range 2θ from 5° to 70°, in order of rising 2θ:
2θ (°)	I/Imax
10.30	21
15.54	14
28.54	51
28.69	100
40.85	57
40.99	39
41.16	19
50.85	21
59.41	13
67.09	25


No. 10
Starting from the PBE geometry in Alexandria, the X-ray diffraction stick pattern of Pm2Ni17 was computed for CuKα.
No peak broadening, texture or thermal motion is included.

Cell and atoms:
```
data_Pm2Ni17
_chemical_formula_sum 'Pm6 Ni51'
_space_group_name_H-M_alt 'R -3 m'
_space_group_IT_number 166
_space_group_name_Hall '-R 3 2"'
_cell_length_a 8.3447
_cell_length_b 8.3447
_cell_length_c 12.1178
_cell_angle_alpha 90.00
_cell_angle_beta 90.00
_cell_angle_gamma 120.00
loop_
_atom_site_label
_atom_site_type_symbol
_atom_site_fract_x
_atom_site_fract_y
_atom_site_fract_z
Pm1 Pm 0.0000 0.0000 0.1597
Ni1 Ni 0.0000 0.0000 0.4015
Ni2 Ni 0.0000 0.2905 0.5000
Ni3 Ni 0.0000 0.5000 0.0000
Ni4 Ni 0.0023 0.5011 0.3452
```

Principal peaks in the range 2θ from 5° to 70°, in order of rising 2θ:
2θ (°)	I/Imax
30.81	33
37.33	40
38.79	28
43.37	65
43.75	100
44.67	16
44.88	33
45.04	16
49.15	27
64.18	17